For Li7Mn5O12, a cell relaxed with GGA+U gives the simulated powder X-ray diffraction pattern in this record (Cu Kα, 1.54184 Å).
Peak positions follow from Bragg's law for the DFT cell and can differ from measured ones.

Atomic structure:
```
data_Li7Mn5O12
_space_group_name_H-M_alt 'P 1'
_space_group_IT_number 1
_cell_length_a 6.504
_cell_length_b 6.504
_cell_length_c 5.319
_cell_angle_alpha 94.86
_cell_angle_beta 94.86
_cell_angle_gamma 82.98
loop_
_space_group_symop_operation_xyz
'x,y,z'
loop_
_atom_site_label
_atom_site_fract_x
_atom_site_fract_y
_atom_site_fract_z
_atom_site_occupancy
Li1 0.000 0.000 0.000 1
Li2 0.091 0.420 0.267 1
Li3 0.239 0.239 0.764 1
Li4 0.420 0.091 0.267 1
Li5 0.580 0.909 0.733 1
Li6 0.761 0.761 0.236 1
Li7 0.909 0.580 0.733 1
Mn1 0.165 0.835 0.500 1
Mn2 0.330 0.670 0.000 1
Mn3 0.500 0.500 0.500 1
Mn4 0.670 0.330 0.000 1
Mn5 0.835 0.165 0.500 1
O1 0.069 0.720 0.161 1
O2 0.116 0.116 0.398 1
O3 0.216 0.552 0.610 1
O4 0.280 0.931 0.839 1
O5 0.382 0.382 0.109 1
O6 0.448 0.784 0.390 1
O7 0.552 0.216 0.610 1
O8 0.618 0.618 0.891 1
O9 0.720 0.069 0.161 1
O10 0.784 0.448 0.390 1
O11 0.884 0.884 0.602 1
O12 0.931 0.280 0.839 1
```

Top 10 peaks for 5° ≤ 2θ ≤ 70°, most intense first:
18.33 deg, rel. 1000; 44.36 deg, rel. 557; 40.71 deg, rel. 355; 36.30 deg, rel. 237; 61.57 deg, rel. 170; 61.96 deg, rel. 163; 33.92 deg, rel. 162; 13.76 deg, rel. 106; 58.49 deg, rel. 91; 46.89 deg, rel. 87